This entry pairs a crystal structure of CeDyNi10 with its calculated powder XRD pattern. Radiation: Cu Kα, 1.54184 Å. Structure: DFT lattice parameters and positions (GGA-PBE).
Lines closer than 0.1° are merged.

Peak list (10 most intense, 2θ from 5° to 70°, in order of rising 2θ)
3.978 Å, 22.35 deg, rel. 6; 2.896 Å, 30.88 deg, rel. 49; 2.439 Å, 36.86 deg, rel. 31; 2.112 Å, 42.82 deg, rel. 35; 2.079 Å, 43.53 deg, rel. 100; 1.989 Å, 45.60 deg, rel. 27; 1.865 Å, 48.82 deg, rel. 7; 1.541 Å, 60.02 deg, rel. 15; 1.482 Å, 62.68 deg, rel. 9; 1.448 Å, 64.33 deg, rel. 20

Crystal structure
```
CeDyNi10
1.0
3.978 0.000 0.000
0.000 4.884 0.000
0.000 0.000 8.438
Ce Dy Ni
1 1 10
direct
0.000 0.000 0.000
0.000 0.500 0.500
0.000 0.000 0.330
0.000 0.000 0.670
0.000 0.500 0.165
0.000 0.500 0.835
0.500 0.000 0.500
0.500 0.251 0.252
0.500 0.251 0.748
0.500 0.500 0.000
0.500 0.749 0.252
0.500 0.749 0.748
```

This entry pairs a crystal structure of CeDyNiRh with its calculated powder XRD pattern. Radiation: Cu Kα, 1.54184 Å. Structure: DFT lattice parameters and positions (GGA-PBE).
Lines closer than 0.1° are merged.

Peak list (10 most intense, 2θ from 5° to 70°, in order of rising 2θ)
3.343 Å, 26.67 deg, rel. 16; 2.740 Å, 32.69 deg, rel. 100; 2.516 Å, 35.68 deg, rel. 28; 2.483 Å, 36.18 deg, rel. 22; 2.236 Å, 40.34 deg, rel. 30; 2.193 Å, 41.16 deg, rel. 15; 2.171 Å, 41.60 deg, rel. 50; 1.846 Å, 49.37 deg, rel. 17; 1.671 Å, 54.93 deg, rel. 16; 1.424 Å, 65.58 deg, rel. 14

Crystal structure
```
CeDyNiRh
1.0
4.472 0.000 0.000
0.000 1.846 5.033
0.000 -1.846 5.033
Ce Dy Ni Rh
1 1 1 1
direct
0.000 0.000 0.000
0.500 0.278 0.278
0.500 0.559 0.559
0.000 0.732 0.732
```

This entry pairs a crystal structure of Ce2Dy2Si4Ni with its calculated powder XRD pattern. Radiation: Cu Kα, 1.54184 Å. Structure: DFT lattice parameters and positions (GGA-PBE).
Lines closer than 0.1° are merged.

Peak list (10 most intense, 2θ from 5° to 70°, in order of rising 2θ)
4.028 Å, 22.07 deg, rel. 22; 3.452 Å, 25.81 deg, rel. 100; 3.107 Å, 28.74 deg, rel. 24; 2.621 Å, 34.21 deg, rel. 92; 2.502 Å, 35.89 deg, rel. 35; 2.441 Å, 36.83 deg, rel. 78; 2.026 Å, 44.73 deg, rel. 32; 1.726 Å, 53.06 deg, rel. 27; 1.544 Å, 59.92 deg, rel. 20; 1.441 Å, 64.67 deg, rel. 28

Crystal structure
```
Ce2Dy2Si4Ni
1.0
-3.452 3.452 4.028
3.452 -3.452 4.028
3.452 3.452 -4.028
Ce Dy Si Ni
2 2 4 1
direct
0.177 0.177 0.000
0.823 0.823 0.000
0.250 0.750 0.500
0.750 0.250 0.500
0.269 0.269 0.538
0.269 0.731 0.000
0.731 0.269 0.000
0.731 0.731 0.462
0.500 0.500 0.000
```

This entry pairs a crystal structure of CeDy2NpO8 with its calculated powder XRD pattern. Radiation: Cu Kα, 1.54184 Å. Structure: DFT lattice parameters and positions (GGA-PBE).
Lines closer than 0.1° are merged.

Peak list (10 most intense, 2θ from 5° to 70°, in order of rising 2θ)
3.111 Å, 28.70 deg, rel. 100; 3.086 Å, 28.93 deg, rel. 98; 2.683 Å, 33.39 deg, rel. 66; 1.909 Å, 47.64 deg, rel. 17; 1.897 Å, 47.95 deg, rel. 67; 1.886 Å, 48.25 deg, rel. 16; 1.623 Å, 56.71 deg, rel. 30; 1.620 Å, 56.84 deg, rel. 15; 1.616 Å, 56.97 deg, rel. 15; 1.613 Å, 57.11 deg, rel. 30

Crystal structure
```
CeDy2NpO8
1.0
3.817 0.000 0.000
0.000 7.545 0.000
-0.006 0.000 5.367
Ce Dy Np O
1 2 1 8
direct
0.000 0.000 0.000
0.500 0.251 0.500
0.500 0.749 0.500
0.000 0.500 0.000
0.001 0.270 0.760
0.001 0.730 0.760
0.499 0.500 0.230
0.500 0.000 0.249
0.500 0.000 0.751
0.501 0.500 0.770
0.999 0.270 0.240
0.999 0.730 0.240
```